(1)
Calculated powder diffraction line list of CdTe for Cu Kα (λ = 1.5418 Å), from DFT lattice parameters and positions (GGA-PBE).

Principal peaks in the range 5 to 70 degrees two-theta, sorted by position:
2θ/deg  I/Imax  (hkl)
25.31  53.9  0 2 0
29.73  86.1  0 2 1
30.06  100.0  2 0 0
30.96  92.5  0 0 2
39.69  32.4  2 2 0
40.40  30.8  0 2 2
42.78  62.7  2 2 1
43.69  70.7  2 0 2
44.37  60.4  1 3 1
63.52  32.9  3 3 1

Structure:
a b c (Å): 5.9462 7.0379 5.7765
angles (deg): 90.00 90.00 90.00
Space group Cmcm (No. 63)
Asymmetric unit:
Cd (0.0000, 0.1418, 0.2500) x4
Te (0.0000, 0.2775, 0.7500) x4

=====

(2)
Calculated powder diffraction line list of KAl4Si2O12 for Cu Kα (λ = 1.5418 Å), from DFT lattice parameters and positions (GGA-PBE).

Principal peaks in the range 5 to 70 degrees two-theta, sorted by position:
2θ/deg  I/Imax  (hkl)
8.59  65.5  0 0 2
18.98  60.2  1 1 0
19.15  83.5  1 1 -1
22.16  66.9  1 1 -3
22.98  64.9  0 2 3
24.71  69.6  1 1 -4
25.98  79.6  0 0 6
26.77  61.7  1 1 4
28.86  59.9  0 2 5
33.63  100.0  1 3 1

Structure:
a b c (Å): 5.4096 9.3765 20.6667
angles (deg): 90.00 95.21 90.00
Space group C2/c (No. 15)
Asymmetric unit:
K (0.0000, 0.0975, 0.2500) x4
Al (0.0451, 0.2326, 0.8632) x8
Al (0.1908, 0.3936, 0.0000) x8
Si (0.0320, 0.4400, 0.3622) x8
O (0.0267, 0.0373, 0.4725) x8
O (0.0328, 0.4618, 0.4448) x8
O (0.0884, 0.4042, 0.8329) x8
O (0.1302, 0.2403, 0.9484) x8
O (0.2398, 0.3250, 0.3459) x8
O (0.2421, 0.3864, 0.1660) x8

=====

(3)
Calculated powder diffraction line list of Pr4Co3B6 for Cu Kα (λ = 1.5418 Å), from DFT lattice parameters and positions (GGA-PBE).

Principal peaks in the range 5 to 70 degrees two-theta, sorted by position:
2θ/deg  I/Imax  (hkl)
23.20  27.7  0 0 6
33.31  100.0  1 1 0
36.73  17.6  0 1 8
40.98  51.2  1 1 6
47.86  7.6  0 2 7
59.18  11.0  1 1 12
59.52  24.8  3 0 0
61.77  7.3  1 2 8
64.75  10.4  3 0 6
69.93  8.9  2 2 0

Structure:
a b c (Å): 5.3809 5.3809 23.0031
angles (deg): 90.00 90.00 120.00
Space group R-3m (No. 166, hexagonal axes)
Asymmetric unit:
Pr (0.0000, 0.0000, 0.0906) x6
Pr (0.0000, 0.0000, 0.2431) x6
Co (0.0000, 0.0000, 0.3850) x6
Co (0.0000, 0.0000, 0.5000) x3
B (0.0000, 0.3327, 0.0000) x18

=====

(4)
Calculated powder diffraction line list of CaAl2Si3O13 for Cu Kα (λ = 1.5418 Å), from DFT lattice parameters and positions (GGA-PBE).

Principal peaks in the range 5 to 70 degrees two-theta, sorted by position:
2θ/deg  I/Imax  (hkl)
13.52  53.0  0 2 1
14.86  100.0  1 1 0
19.04  27.6  0 0 2
19.89  45.4  1 1 1
20.20  28.0  1 3 0
20.40  39.0  1 3 -1
28.20  29.2  1 1 -3
29.97  32.5  2 2 0
31.11  34.8  1 5 1
31.46  84.6  1 5 -2

Structure:
a b c (Å): 6.6322 18.4088 9.8110
angles (deg): 90.00 108.12 90.00
Space group Cc (No. 9)
Asymmetric unit:
Ca (0.0000, 0.1038, 0.0000) x4
Al (0.2369, 0.2792, 0.9720) x4
Al (0.2989, 0.4703, 0.1157) x4
Si (0.0956, 0.1644, 0.7330) x4
Si (0.3792, 0.1215, 0.5502) x4
Si (0.4198, 0.4127, 0.8513) x4
O (0.0138, 0.3093, 0.0207) x4
O (0.0278, 0.4514, 0.0788) x4
O (0.0847, 0.2147, 0.1787) x4
O (0.1704, 0.3160, 0.4401) x4
O (0.1715, 0.1917, 0.8996) x4
O (0.1741, 0.1078, 0.4098) x4
O (0.2759, 0.3425, 0.8512) x4
O (0.3048, 0.1367, 0.6914) x4
O (0.3768, 0.4773, 0.9574) x4
O (0.3791, 0.4429, 0.6876) x4
O (0.3828, 0.0637, 0.1117) x4
O (0.4479, 0.4066, 0.2414) x4
O (0.4625, 0.2748, 0.1232) x4

=====

(5)
Calculated powder diffraction line list of KSrNb2O6F for Cu Kα (λ = 1.5418 Å), from DFT lattice parameters and positions (GGA-PBE).

Principal peaks in the range 5 to 70 degrees two-theta, sorted by position:
2θ/deg  I/Imax  (hkl)
7.76  100.0  0 0 2
25.60  29.8  1 0 3
27.76  63.1  0 2 4
30.10  37.1  1 0 5
32.68  47.7  1 2 1
39.55  14.6  0 0 10
46.40  17.4  2 0 0
46.67  16.5  0 4 0
48.81  29.6  1 2 9
54.93  18.1  2 2 4

Structure:
a b c (Å): 3.9139 7.7844 22.7883
angles (deg): 90.00 90.00 90.00
Space group Immm (No. 71)
Asymmetric unit:
K (0.0000, 0.0000, 0.2358) x4
Sr (0.0000, 0.0000, 0.0000) x2
Sr (0.0000, 0.5000, 0.0000) x2
Nb (0.0000, 0.2527, 0.3924) x8
O (0.0000, 0.0000, 0.4090) x4
O (0.0000, 0.2483, 0.0852) x8
O (0.0000, 0.2730, 0.3140) x8
O (0.0000, 0.5000, 0.4199) x4
F (0.0000, 0.2329, 0.5000) x4

=====

(6)
Calculated powder diffraction line list of AlC2Br5N2O6 for Cu Kα (λ = 1.5418 Å), from DFT lattice parameters and positions (GGA-PBE).

Principal peaks in the range 5 to 70 degrees two-theta, sorted by position:
2θ/deg  I/Imax  (hkl)
8.92  38.6  0 0 2
17.89  16.6  0 0 4
30.55  100.0  1 1 4
34.99  44.9  2 0 0
36.25  23.7  0 0 8
39.57  23.7  2 0 4
50.32  20.5  2 2 0
51.27  22.0  2 0 8
60.02  31.8  3 1 4
63.59  14.9  2 2 8

Structure:
a b c (Å): 5.1286 5.1286 19.8229
angles (deg): 90.00 90.00 90.00
Space group I4/m (No. 87)
Asymmetric unit:
Al (0.0000, 0.0000, 0.0000) x2
C (0.0000, 0.0000, 0.2590) x4
Br (0.0000, 0.0000, 0.5000) x2
Br (0.0000, 0.5000, 0.1313) x8
N (0.0000, 0.0000, 0.3195) x4
O (0.0000, 0.0000, 0.1038) x4
O (0.1900, 0.6921, 0.5000) x8

=====

(7)
Calculated powder diffraction line list of SiO2 for Cu Kα (λ = 1.5418 Å), from DFT lattice parameters and positions (GGA-PBE).

Principal peaks in the range 5 to 70 degrees two-theta, sorted by position:
2θ/deg  I/Imax  (hkl)
33.28  100.0  1 1 0
41.06  45.2  1 1 1
59.47  34.8  2 1 1
69.88  38.1  2 2 0

Structure:
a b c (Å): 3.8070 3.8070 3.8070
angles (deg): 90.00 90.00 90.00
Space group Pn-3m (No. 224, origin choice 2)
Asymmetric unit:
Si (0.2500, 0.2500, 0.2500) x2
O (0.0000, 0.0000, 0.0000) x4

=====

(8)
Calculated powder diffraction line list of Te2Mo3WSe6 for Cu Kα (λ = 1.5418 Å), from DFT lattice parameters and positions (GGA-PBE).

Principal peaks in the range 5 to 70 degrees two-theta, sorted by position:
2θ/deg  I/Imax  (hkl)
6.90  50.0  0 0 3
11.51  100.0  0 0 5
13.83  17.3  0 0 6
30.55  45.1  1 0 0
35.93  90.1  1 0 8
38.67  16.7  0 1 10
43.51  58.0  1 0 13
45.29  18.5  1 0 14
54.28  32.5  1 1 0
66.82  14.4  2 0 8

Structure:
a b c (Å): 3.3802 3.3802 38.4249
angles (deg): 90.00 90.00 120.00
Space group P3m1 (No. 156)
Asymmetric unit:
Te (0.0000, 0.0000, 0.0000) x1
Te (0.0000, 0.0000, 0.0978) x1
Mo (0.0000, 0.0000, 0.2368) x1
Mo (0.6667, 0.3333, 0.0489) x1
Mo (0.6667, 0.3333, 0.4246) x1
W (0.0000, 0.0000, 0.6125) x1
Se (0.0000, 0.0000, 0.3816) x1
Se (0.0000, 0.0000, 0.4677) x1
Se (0.6667, 0.3333, 0.1938) x1
Se (0.6667, 0.3333, 0.2798) x1
Se (0.6667, 0.3333, 0.5693) x1
Se (0.6667, 0.3333, 0.6557) x1

=====

(9)
Calculated powder diffraction line list of LaTeCl for Cu Kα (λ = 1.5418 Å), from DFT lattice parameters and positions (GGA-PBE).

Principal peaks in the range 5 to 70 degrees two-theta, sorted by position:
2θ/deg  I/Imax  (hkl)
21.32  26.5  0 0 2
27.68  100.0  1 1 0
29.03  66.1  1 0 2
29.72  40.1  1 1 1
35.20  78.1  1 1 2
37.92  68.1  1 0 3
39.55  66.9  2 0 0
49.81  29.3  2 1 2
55.95  43.8  2 1 3
58.99  28.9  1 0 5

Structure:
a b c (Å): 4.5569 4.5569 8.3366
angles (deg): 90.00 90.00 90.00
Space group P4/nmm (No. 129, origin choice 2)
Asymmetric unit:
La (0.2500, 0.2500, 0.2416) x2
Te (0.2500, 0.2500, 0.6381) x2
Cl (0.2500, 0.7500, 0.0000) x2

=====

(10)
Calculated powder diffraction line list of AlHO2 for Cu Kα (λ = 1.5418 Å), from DFT lattice parameters and positions (GGA-PBE).

Principal peaks in the range 5 to 70 degrees two-theta, sorted by position:
2θ/deg  I/Imax  (hkl)
23.28  100.0  1 0 0
32.44  90.3  0 1 1
46.47  67.9  0 2 0
46.59  70.1  0 0 2
47.59  70.7  2 0 0
52.60  25.3  1 2 0
52.71  24.7  1 0 2
58.77  31.3  2 1 1
67.92  37.1  0 2 2
68.75  70.6  2 0 2

Structure:
a b c (Å): 3.8215 3.9083 3.8990
angles (deg): 90.00 90.00 90.00
Space group Pmc2_1 (No. 26)
Asymmetric unit:
Al (0.0000, 0.2387, 0.0000) x2
H (0.5000, 0.4504, 0.7805) x2
O (0.0000, 0.2460, 0.4930) x2
O (0.5000, 0.2823, 0.9798) x2

=====

(11)
Calculated powder diffraction line list of HfMg6Mn for Cu Kα (λ = 1.5418 Å), from DFT lattice parameters and positions (GGA-PBE).

Principal peaks in the range 5 to 70 degrees two-theta, sorted by position:
2θ/deg  I/Imax  (hkl)
16.00  62.8  0 0 2
16.51  45.0  0 1 1
17.78  46.5  1 0 0
24.01  42.8  1 0 2
24.36  39.4  1 1 1
33.38  39.9  0 2 2
36.02  37.5  2 0 0
37.13  57.3  1 0 4
38.07  100.0  1 2 2
49.92  25.3  2 2 2

Structure:
a b c (Å): 4.9874 6.1364 11.0803
angles (deg): 90.00 90.00 90.00
Space group Amm2 (No. 38)
Asymmetric unit:
Hf (0.0000, 0.0000, 0.0000) x2
Mg (0.0000, 0.2473, 0.2482) x4
Mg (0.5000, 0.0000, 0.1578) x2
Mg (0.5000, 0.0000, 0.6500) x2
Mg (0.5000, 0.2470, 0.4142) x4
Mn (0.0000, 0.0000, 0.4881) x2

=====

(12)
Calculated powder diffraction line list of Ba2YTlCu2O7 for Cu Kα (λ = 1.5418 Å), from DFT lattice parameters and positions (GGA-PBE).

Principal peaks in the range 5 to 70 degrees two-theta, sorted by position:
2θ/deg  I/Imax  (hkl)
26.87  46.2  1 0 2
31.15  100.0  1 0 3
32.65  72.1  1 1 0
35.02  20.3  0 0 5
43.44  15.9  1 1 4
46.85  36.3  2 0 0
48.64  21.0  1 1 5
54.84  13.8  2 1 2
57.34  36.2  2 1 3
59.81  16.0  2 0 5

Structure:
a b c (Å): 3.8782 3.8782 12.8104
angles (deg): 90.00 90.00 90.00
Space group P4/mmm (No. 123)
Asymmetric unit:
Ba (0.0000, 0.0000, 0.2068) x2
Y (0.0000, 0.0000, 0.5000) x1
Tl (0.5000, 0.5000, 0.0000) x1
Cu (0.5000, 0.5000, 0.3748) x2
O (0.0000, 0.0000, 0.0000) x1
O (0.0000, 0.5000, 0.3876) x4
O (0.5000, 0.5000, 0.1646) x2